The following is a calculated X-ray diffraction stick pattern of Na2Li2NpS4. It was derived from a cell relaxed with PBE, using Cu Ka.
Peak positions follow from Bragg's law for the DFT cell and can differ from measured ones.

Most intense lines, 2θ = 10–80°, in order of falling intensity:
two_theta, d_spacing, Rel. int.
13.98, 6.333, 100
13.51, 6.554, 94
13.66, 6.481, 85
23.35, 3.809, 65
33.50, 2.675, 62
25.34, 3.514, 59
37.39, 2.405, 34
27.52, 3.241, 32

Crystal structure
a = 7.611 Å, b = 7.611 Å, c = 7.427 Å
α = 117.00°, β = 117.00°, γ = 30.39°
Element x y z (fractional)
Na 0.152 0.152 0.042
Na 0.848 0.848 0.958
Li 0.320 0.320 0.522
Li 0.680 0.680 0.478
Np 0.000 0.000 0.500
S 0.209 0.209 0.687
S 0.496 0.496 0.253
S 0.504 0.504 0.747
S 0.791 0.791 0.313